Er4Al3: simulated X-ray diffraction stick pattern (Cu Kα X-rays), based on a DFT-relaxed cell (GGA-PBE, Alexandria).
Kinematic intensities with the Lorentz-polarization factor, no thermal factor.

Structure:
Cell lengths 13.6020, 13.6020, 6.3032 Å; angles 90.00, 90.00, 120.00 degrees
Space group R-3 (No. 148, hexagonal axes)
One atom of each set of equivalent atoms:
Er1 0.0000 0.0000 0.0000
Er2 0.0000 0.0000 0.5000
Er3 0.0514 0.2503 0.1757
Al1 0.0485 0.2271 0.6893

Top 10 peaks for 2θ from 5° to 70°, low angle first:
h k l  2θ/deg  I (rel.)
0 2 1  20.64  2.4
3 0 0  22.65  2.9
2 1 1  24.48  40.3
2 2 0  26.21  2.1
3 -2 2  34.89  100.0
3 2 1  36.16  2.3
0 0 3  43.08  11.4
4 2 2  50.17  17.5
1 4 3  56.59  15.9
2 1 4  62.57  34.1